SmSiHO4: simulated XRD peak list (Cu Kα (λ = 1.5418 Å)), based on a structure optimized by DFT (GGA-PBE).
Peak positions follow from Bragg's law for the DFT cell and can differ from measured ones.

Peak list (10 most intense, 2θ from 15° to 90°, sorted by position)
two_theta	d (Å)	I_rel
19.74	4.497	44.8
22.44	3.962	88.4
25.18	3.536	43.7
26.57	3.355	100.0
28.53	3.129	80.6
31.52	2.838	96.0
33.32	2.689	38.4
42.40	2.132	44.8
45.80	1.981	34.6
50.11	1.820	33.7

Structural model:
```
SmSiHO4
1.0
4.5303 0.0000 0.0000
0.0000 6.7105 0.0000
-0.5991 0.0000 4.9096
Sm Si H O
2 2 2 8
direct
0.0701 0.2500 0.2049
0.9299 0.7500 0.7951
0.4376 0.7500 0.3026
0.5624 0.2500 0.6974
0.5000 0.0000 0.0000
0.5000 0.5000 0.0000
0.2040 0.2500 0.6982
0.2930 0.5590 0.1143
0.2930 0.9410 0.1143
0.3721 0.7500 0.6143
0.6279 0.2500 0.3857
0.7070 0.0590 0.8857
0.7070 0.4410 0.8857
0.7960 0.7500 0.3018
```


Ni3N2: simulated XRD peak list (Cu Kα (λ = 1.5418 Å)), based on a structure optimized by DFT (GGA-PBE).
Peak positions follow from Bragg's law for the DFT cell and can differ from measured ones.

Peak list (10 most intense, 2θ from 15° to 90°, sorted by position)
two_theta	d (Å)	I_rel
24.66	3.611	15.4
35.19	2.551	12.6
41.48	2.177	100.0
43.31	2.089	20.8
55.53	1.655	13.3
56.98	1.616	14.6
63.13	1.473	18.2
67.39	1.390	7.0
78.22	1.222	17.9
79.68	1.203	12.3

Structural model:
```
Ni3N2
1.0
2.5504 1.4724 4.1786
-2.5504 1.4724 4.1786
0.0000 -2.9449 4.1786
Ni N
6 4
direct
0.0340 0.7500 0.4660
0.2500 0.5340 0.9660
0.4660 0.0340 0.7500
0.5340 0.9660 0.2500
0.7500 0.4660 0.0340
0.9660 0.2500 0.5340
0.1376 0.1376 0.1376
0.3624 0.3624 0.3624
0.6376 0.6376 0.6376
0.8624 0.8624 0.8624
```


CsLuGeTe3: simulated XRD peak list (Cu Kα (λ = 1.5418 Å)), based on a structure optimized by DFT (GGA-PBE).
Peak positions follow from Bragg's law for the DFT cell and can differ from measured ones.

Peak list (10 most intense, 2θ from 15° to 90°, sorted by position)
two_theta	d (Å)	I_rel
25.35	3.513	51.7
25.76	3.459	21.0
26.40	3.376	72.9
29.33	3.045	100.0
33.24	2.695	22.5
36.45	2.465	41.8
39.14	2.302	25.2
39.98	2.255	30.9
45.28	2.003	31.2
50.34	1.813	25.4

Structural model:
```
CsLuGeTe3
1.0
2.2551 -8.4029 0.0000
2.2551 8.4029 0.0000
0.0000 0.0000 12.1865
Cs Lu Ge Te
2 2 2 6
direct
0.2470 0.7530 0.7500
0.7530 0.2470 0.2500
0.5000 0.5000 0.0000
0.5000 0.5000 0.5000
0.0512 0.9488 0.2500
0.9488 0.0512 0.7500
0.1222 0.8778 0.0325
0.1222 0.8778 0.4675
0.4495 0.5505 0.2500
0.5505 0.4495 0.7500
0.8778 0.1222 0.5325
0.8778 0.1222 0.9675
```